Record 1
Simulated X-ray diffraction stick pattern
Compound: AcGe3Pt3
Radiation: Cu Kα, 1.54184 Å
Structure: a cell relaxed with PBE
Intensities are scaled so that the largest is 100.

Crystal structure
a b c (Å): 6.8706 6.8706 6.8706
angles (deg): 90.00 90.00 90.00
Space group Pm-3n (No. 223)
Symmetry-distinct sites (fractional):
Ac: 0.0000 0.0000 0.0000 (multiplicity 2)
Ge: 0.0000 0.2500 0.5000 (multiplicity 6)
Pt: 0.0000 0.5000 0.2500 (multiplicity 6)

Peak list (12 most intense, 10 to 90 degrees two-theta, sorted by position)
25.94 deg, I 42.3; 29.06 deg, I 28.5; 31.91 deg, I 100.0; 45.75 deg, I 17.5; 49.65 deg, I 59.2; 53.34 deg, I 26.2; 60.24 deg, I 16.7; 63.51 deg, I 14.2; 75.84 deg, I 17.2; 78.80 deg, I 16.9; 84.63 deg, I 8.2; 87.53 deg, I 18.5

***

Record 2
Simulated X-ray diffraction stick pattern
Compound: Er2HgAs2
Radiation: Cu Kα, 1.54184 Å
Structure: a cell relaxed with PBE
Intensities are scaled so that the largest is 100.

Crystal structure
a b c (Å): 3.9919 6.5234 9.3202
angles (deg): 90.00 102.20 90.00
Space group P2_1 (No. 4)
Symmetry-distinct sites (fractional):
Er: 0.0263 0.0000 0.0478 (multiplicity 2)
Er: 0.1997 0.3131 0.3983 (multiplicity 2)
Hg: 0.3981 0.1995 0.7987 (multiplicity 2)
As: 0.1901 0.8665 0.3795 (multiplicity 2)
As: 0.4124 0.7746 0.8286 (multiplicity 2)

Peak list (12 most intense, 10 to 90 degrees two-theta, sorted by position)
26.63 deg, I 53.2; 29.08 deg, I 43.5; 30.09 deg, I 34.8; 32.52 deg, I 35.0; 33.24 deg, I 100.0; 33.34 deg, I 100.0; 33.80 deg, I 44.0; 35.89 deg, I 99.7; 38.61 deg, I 53.8; 43.60 deg, I 29.7; 45.44 deg, I 50.2; 50.07 deg, I 29.6